Diffraction record for Nd2NiO4. The X-ray diffraction stick pattern is computed, not measured: it uses the PBE+U geometry in Alexandria and λ = 1.5418 Å (Cu Kα).
Intensities are scaled so that the largest is 100.

Most intense lines, 2θ from 10° to 80°, by angle:
(1 1 1), 2θ 23.81, intensity 30.2
(0 0 2), 2θ 31.40, intensity 36.5
(1 3 1), 2θ 31.71, intensity 100.0
(2 0 0), 2θ 33.07, intensity 35.9
(0 4 2), 2θ 43.51, intensity 14.7
(1 5 1), 2θ 43.75, intensity 20.8
(2 4 0), 2θ 44.79, intensity 14.5
(2 0 2), 2θ 46.24, intensity 34.9
(1 3 3), 2θ 56.09, intensity 21.4
(3 3 1), 2θ 58.21, intensity 18.1

Structural model:
```
data_Nd2NiO4
_space_group_name_H-M_alt 'C m c e'
_space_group_IT_number 64
_space_group_name_Hall '-C 2ac 2'
_cell_length_a 5.418
_cell_length_b 12.173
_cell_length_c 5.698
_cell_angle_alpha 90.00
_cell_angle_beta 90.00
_cell_angle_gamma 90.00
loop_
_atom_site_label
_atom_site_fract_x
_atom_site_fract_y
_atom_site_fract_z
Nd1 0.000 0.137 0.017
Ni1 0.000 0.000 0.500
O1 0.000 0.180 0.426
O2 0.250 0.022 0.750
```